This entry pairs a crystal structure of Co15Te with its computed X-ray powder pattern. Radiation: a wavelength of 1.5418 Å. Structure: a DFT-relaxed cell (PBE, OQMD).

Top 8 peaks for 2θ from 15° to 90°, by angle:
Position (°2θ)  I (rel.)
43.76  62.3
45.10  100.0
51.34  11.9
51.98  52.9
53.75  10.6
76.07  13.4
76.58  15.2
78.03  11.5

Structure:
```
Co15Te
1.0
3.5187 0.0000 0.0000
0.0000 3.5194 0.0000
0.0000 0.0000 40.9349
Co Te
30 2
direct
0.0000 0.0000 0.0000 Co
0.0000 0.0000 0.0840 Co
0.0000 0.0000 0.1685 Co
0.0000 0.0000 0.2532 Co
0.0000 0.0000 0.3377 Co
0.0000 0.0000 0.4223 Co
0.0000 0.0000 0.5071 Co
0.0000 0.0000 0.5917 Co
0.0000 0.5000 0.0414 Co
0.0000 0.5000 0.1260 Co
0.0000 0.5000 0.2109 Co
0.0000 0.5000 0.2955 Co
0.0000 0.5000 0.3800 Co
0.0000 0.5000 0.4647 Co
0.0000 0.5000 0.5492 Co
0.0000 0.5000 0.6330 Co
0.5000 0.0000 0.0414 Co
0.5000 0.0000 0.1260 Co
0.5000 0.0000 0.2109 Co
0.5000 0.0000 0.2955 Co
0.5000 0.0000 0.3801 Co
0.5000 0.0000 0.4649 Co
0.5000 0.0000 0.5505 Co
0.5000 0.5000 0.0827 Co
0.5000 0.5000 0.1683 Co
0.5000 0.5000 0.2531 Co
0.5000 0.5000 0.3377 Co
0.5000 0.5000 0.4223 Co
0.5000 0.5000 0.5071 Co
0.5000 0.5000 0.5917 Co
0.5000 0.0000 0.6499 Te
0.5000 0.5000 0.9835 Te
```